# Pm4NdPb4
Computed X-ray powder pattern, Cu Kα (weighted mean of Kα1 and Kα2). Input: a crystal structure in Alexandria, relaxed with PBE.

The 10 most intense peaks (5 to 70 degrees two-theta), in order of rising 2θ:
- 2θ 12.5, I 10
- 2θ 16.4, I 11
- 2θ 27.9, I 50
- 2θ 28.1, I 100
- 2θ 40.0, I 79
- 2θ 40.2, I 38
- 2θ 49.6, I 42
- 2θ 58.1, I 13
- 2θ 65.4, I 19
- 2θ 65.7, I 36

Structure:
```
9
Lattice="-5.020 5.020 3.194 5.020 -5.020 3.194 5.020 5.020 -3.194" Properties=species:S:1:pos:R:3 pbc="T T T"
Pm 2.953 0.998 0.000
Pm 4.022 -2.066 3.194
Pm 0.998 7.086 0.000
Pm 2.066 4.022 3.194
Nd 0.000 0.000 3.194
Pb 5.997 2.003 0.000
Pb 2.003 4.042 0.000
Pb 3.016 0.977 3.194
Pb -0.977 3.016 3.194
```